Diffraction record for Na5CoO4. The PXRD pattern is simulated, not measured: it uses the GGA+U geometry in OQMD and Cu Kα.
Intensities are scaled so that the largest is 100.

Cell lengths 7.6054, 5.9738, 5.8082 Å; angles 90.00, 90.00, 90.00 degrees
Element x y z (fractional)
Na 0.0000 0.1705 0.0000
Na 0.1833 0.5683 0.6870
Na 0.1963 0.1105 0.5027
Na 0.3037 0.8895 0.0027
Na 0.3167 0.4317 0.1870
Na 0.5000 0.8295 0.5000
Na 0.6833 0.4317 0.1870
Na 0.6963 0.8895 0.0027
Na 0.8037 0.1105 0.5027
Na 0.8167 0.5683 0.6870
Co 0.0000 0.6757 0.2482
Co 0.5000 0.3243 0.7482
O 0.0000 0.3702 0.3530
O 0.0000 0.7632 0.9385
O 0.2224 0.7681 0.3558
O 0.2776 0.2319 0.8558
O 0.5000 0.2368 0.4385
O 0.5000 0.6298 0.8530
O 0.7224 0.2319 0.8558
O 0.7776 0.7681 0.3558

Main lines, by angle (2θ from 10° to 90°):
2θ (°)  Rel. int.  index
18.9  61  1 1 0
19.2  99  1 0 1
21.3  57  0 1 1
32.2  55  1 2 0
34.3  93  0 1 2
36.4  76  1 1 2
38.8  100  3 0 1
41.5  78  2 2 1
41.7  58  3 1 1
55.4  52  2 1 3